K2LiIn3Ag12: calculated XRD peak list (Cu Kα (weighted mean of Kα1 and Kα2)), based on DFT lattice parameters and positions (PBE).

abc: 7.1163 7.1163 30.8607
angles: 90.00 90.00 120.00
Space group R-3m (No. 166, hexagonal axes)
Unique sites:
K: 0.0000 0.0000 0.1573
Li: 0.0000 0.0000 0.5000
In: 0.0000 0.5000 0.0000
Ag: 0.0707 0.5353 0.0954
Ag: 0.0710 0.5355 0.6120

Top 8 peaks for 10 to 90 degrees two-theta, in order of rising 2θ:
h k l  two_theta  I_rel
0 0 6  17.24  42.5
0 1 8  27.27  72.4
2 0 2  29.56  60.5
0 2 4  31.26  51.5
1 0 10  32.45  62.5
2 0 8  37.35  49.2
1 2 2  39.11  100.0
0 2 10  41.41  89.6